[1]
Diffraction record for MgCrP2S7. The powder diffraction line list is theoretical, not measured: it uses the PBE geometry in the Materials Project and Cu Kα, 1.54184 Å.

Top 10 peaks for 2θ from 15° to 90°, in order of rising 2θ:
hkl, 2θ/deg, Rel. int.
1 1 0, 17.65, 537
0 1 -1, 18.50, 364
0 2 -1, 29.46, 1000
1 2 -1, 31.46, 395
-1 1 2, 31.95, 597
-1 2 2, 39.57, 263
3 1 1, 43.09, 264
1 3 -1, 43.21, 326
-1 1 3, 43.38, 238
1 2 3, 48.00, 264

Structural model:
Unit cell a=6.773 b=6.862 c=6.953 alpha=88.18 beta=89.79 gamma=85.00
Space group P1 (No. 1)
Unique sites:
1 Mg 0.000 0.000 0.000 x1
2 Cr 0.557 0.218 0.051 x1
3 P 0.127 0.370 0.148 x1
4 P 0.667 0.763 0.947 x1
5 S 0.238 0.227 0.899 x1
6 S 0.373 0.324 0.322 x1
7 S 0.518 0.545 0.849 x1
8 S 0.551 0.892 0.191 x1
9 S 0.689 0.027 0.782 x1
10 S 0.876 0.225 0.246 x1
11 S 0.968 0.662 0.953 x1

[2]
Diffraction record for MgCr2S5. The powder diffraction line list is theoretical, not measured: it uses the PBE geometry in the Materials Project and Cu Kα, 1.54184 Å.

Top 10 peaks for 2θ from 15° to 90°, in order of rising 2θ:
hkl, 2θ/deg, Rel. int.
0 2 1, 19.55, 635
1 1 0, 22.99, 839
0 4 0, 25.43, 315
1 0 1, 26.73, 1000
0 0 2, 29.99, 420
1 2 2, 39.77, 796
0 6 1, 41.53, 507
2 0 0, 45.05, 593
1 0 3, 51.29, 425
1 4 3, 58.09, 313

Structural model:
Unit cell a=4.025 b=14.013 c=5.960 alpha=90.00 beta=90.00 gamma=90.00
Space group Pmmn (No. 59, origin choice 2)
Unique sites:
1 Mg 0.250 0.250 0.129 x2
2 Cr 0.250 0.598 0.416 x4
3 S 0.250 0.068 0.402 x4
4 S 0.250 0.642 0.072 x4
5 S 0.250 0.750 0.571 x2

[3]
Diffraction record for MgCr4S8. The powder diffraction line list is theoretical, not measured: it uses the PBE geometry in the Materials Project and Cu Kα, 1.54184 Å.

Top 10 peaks for 2θ from 15° to 90°, in order of rising 2θ:
hkl, 2θ/deg, Rel. int.
0 1 -1, 15.02, 1000
1 0 -2, 23.47, 184
0 0 2, 25.27, 278
0 0 3, 38.30, 272
2 2 -2, 38.98, 910
-2 2 1, 40.94, 249
0 2 2, 47.17, 234
2 0 2, 47.49, 233
0 4 -2, 56.23, 167
4 0 -2, 56.40, 219

Structural model:
Unit cell a=6.527 b=6.545 c=8.351 alpha=112.01 beta=112.50 gamma=90.12
Space group P1 (No. 1)
Unique sites:
1 Mg 0.000 0.000 0.000 x1
2 Cr 0.038 0.797 0.615 x1
3 Cr 0.181 0.934 0.377 x1
4 Cr 0.185 0.421 0.381 x1
5 Cr 0.569 0.796 0.617 x1
6 S 0.337 0.059 0.688 x1
7 S 0.338 0.604 0.693 x1
8 S 0.369 0.130 0.277 x1
9 S 0.382 0.642 0.303 x1
10 S 0.854 0.084 0.715 x1
11 S 0.863 0.624 0.734 x1
12 S 0.899 0.129 0.275 x1
13 S 0.906 0.643 0.304 x1

[4]
Diffraction record for MgCr4S8. The powder diffraction line list is theoretical, not measured: it uses the PBE geometry in the Materials Project and Cu Kα, 1.54184 Å.

Top 10 peaks for 2θ from 15° to 90°, in order of rising 2θ:
hkl, 2θ/deg, Rel. int.
1 1 0, 15.42, 832
0 2 1, 29.77, 483
4 0 0, 36.09, 1000
6 0 -1, 47.45, 327
2 2 2, 51.96, 742
4 2 1, 54.52, 91
4 4 0, 64.93, 132
4 4 -4, 76.56, 97
0 4 4, 87.62, 103
2 6 -2, 87.74, 103

Structural model:
Unit cell a=12.181 b=7.037 c=7.041 alpha=90.00 beta=125.18 gamma=90.00
Space group Cm (No. 8)
Unique sites:
1 Mg 0.000 0.000 0.000 x2
2 Cr 0.117 0.500 0.383 x2
3 Cr 0.117 0.500 0.852 x2
4 Cr 0.383 0.235 0.383 x4
5 S 0.120 0.261 0.620 x4
6 S 0.140 0.279 0.140 x4
7 S 0.360 0.500 0.582 x2
8 S 0.361 0.500 0.140 x2
9 S 0.380 0.000 0.141 x2
10 S 0.381 0.000 0.620 x2